Diffraction record for PuGe3Au3. The powder XRD pattern is calculated, not measured: it uses a DFT-relaxed cell (GGA-PBE, Alexandria) and copper Kα.
Lines closer than 0.1° are merged.

Cell and atoms:
```
data_PuGe3Au3
_chemical_formula_sum 'Pu2 Ge6 Au6'
_space_group_name_H-M_alt 'P 1'
_space_group_IT_number 1
_cell_length_a 7.3709
_cell_length_b 7.3709
_cell_length_c 7.3709
_cell_angle_alpha 65.52
_cell_angle_beta 65.52
_cell_angle_gamma 65.52
loop_
_space_group_symop_operation_xyz
'x,y,z'
loop_
_atom_site_label
_atom_site_fract_x
_atom_site_fract_y
_atom_site_fract_z
Pu1 0.1647 0.1647 0.1647
Pu2 0.8353 0.8353 0.8353
Ge1 0.0858 0.4142 0.7440
Ge2 0.2560 0.9142 0.5858
Ge3 0.4142 0.7440 0.0858
Ge4 0.5858 0.2560 0.9142
Ge5 0.7440 0.0858 0.4142
Ge6 0.9142 0.5858 0.2560
Au1 0.0812 0.7297 0.4072
Au2 0.2703 0.5928 0.9188
Au3 0.4072 0.0812 0.7297
Au4 0.5928 0.9188 0.2703
Au5 0.7297 0.4072 0.0812
Au6 0.9188 0.2703 0.5928
```

The 12 most intense peaks (2θ = 15–90°), by intensity:
2theta	d [Å]	Rel. int.
39.12	2.303	100
27.20	3.278	85
38.58	2.334	79
70.52	1.335	27
56.11	1.639	27
50.78	1.798	24
78.37	1.220	19
48.30	1.884	18
70.88	1.330	17
31.08	2.877	16
63.07	1.474	16
63.82	1.458	16